(1)
This entry pairs a crystal structure of Cs3SbH3 with its computed powder XRD pattern. Radiation: a wavelength of 1.5418 Å. Structure: a DFT-relaxed cell (GGA-PBE, Alexandria).
Peak positions follow from Bragg's law for the DFT cell and can differ from measured ones.

Crystal structure
Cell lengths 8.2447, 8.2447, 8.2447 Å; angles 67.69, 67.69, 67.69 degrees
Fractional coordinates of all 14 atoms:
Cs (0.1541, 0.7504, 0.3461)
Cs (0.2496, 0.6539, 0.8459)
Cs (0.3461, 0.1541, 0.7504)
Cs (0.6539, 0.8459, 0.2496)
Cs (0.7504, 0.3461, 0.1541)
Cs (0.8459, 0.2496, 0.6539)
Sb (0.2506, 0.2506, 0.2506)
Sb (0.7494, 0.7494, 0.7494)
H (0.0166, 0.4857, 0.2497)
H (0.2497, 0.0166, 0.4857)
H (0.4857, 0.2497, 0.0166)
H (0.5143, 0.7503, 0.9834)
H (0.7503, 0.9834, 0.5143)
H (0.9834, 0.5143, 0.7503)

Largest 10 diffraction maxima, by angle, 2θ = 10–90°:
| 2θ/deg | Rel. int. |
| --- | --- |
| 24.0 | 100 |
| 24.3 | 80 |
| 28.3 | 41 |
| 29.3 | 50 |
| 30.1 | 25 |
| 33.8 | 28 |
| 41.2 | 27 |
| 44.6 | 41 |
| 51.0 | 19 |
| 53.6 | 21 |


(2)
This entry pairs a crystal structure of CsGaTe2 with its computed powder XRD pattern. Radiation: a wavelength of 1.5418 Å. Structure: a DFT-relaxed cell (GGA-PBE, Alexandria).
Peak positions follow from Bragg's law for the DFT cell and can differ from measured ones.

Crystal structure
Cell lengths 7.2996, 14.1828, 6.8908 Å; angles 90.00, 90.00, 90.00 degrees
Fractional coordinates of all 16 atoms:
Cs (0.2500, 0.2500, 0.0000)
Cs (0.2500, 0.7500, 0.5000)
Cs (0.7500, 0.2500, 0.5000)
Cs (0.7500, 0.7500, 0.0000)
Ga (0.0000, 0.0000, 0.2500)
Ga (0.0000, 0.0000, 0.7500)
Ga (0.5000, 0.5000, 0.2500)
Ga (0.5000, 0.5000, 0.7500)
Te (0.2050, 0.0971, 0.5000)
Te (0.2050, 0.9029, 0.0000)
Te (0.2950, 0.4029, 0.5000)
Te (0.2950, 0.5971, 0.0000)
Te (0.7050, 0.4029, 0.0000)
Te (0.7050, 0.5971, 0.5000)
Te (0.7950, 0.0971, 0.0000)
Te (0.7950, 0.9029, 0.5000)

Largest 10 diffraction maxima, by angle, 2θ = 10–90°:
| 2θ/deg | Rel. int. |
| --- | --- |
| 13.6 | 25 |
| 24.4 | 13 |
| 25.9 | 100 |
| 30.4 | 7 |
| 35.8 | 24 |
| 43.9 | 13 |
| 45.7 | 28 |
| 46.1 | 7 |
| 46.6 | 12 |
| 72.7 | 10 |


(3)
This entry pairs a crystal structure of Sr4CuRh with its computed powder XRD pattern. Radiation: a wavelength of 1.5418 Å. Structure: a DFT-relaxed cell (GGA-PBE, Alexandria).
Peak positions follow from Bragg's law for the DFT cell and can differ from measured ones.

Crystal structure
Cell lengths 6.6735, 6.6735, 6.6735 Å; angles 60.00, 60.00, 60.00 degrees
Fractional coordinates of all 6 atoms:
Sr (0.3757, 0.3757, 0.3757)
Sr (0.3757, 0.3757, 0.8728)
Sr (0.3757, 0.8728, 0.3757)
Sr (0.8728, 0.3757, 0.3757)
Cu (0.0000, 0.0000, 0.0000)
Rh (0.7500, 0.7500, 0.7500)

Largest 10 diffraction maxima, by angle, 2θ = 10–90°:
| 2θ/deg | Rel. int. |
| --- | --- |
| 16.3 | 6 |
| 26.7 | 26 |
| 31.4 | 100 |
| 32.9 | 41 |
| 47.2 | 11 |
| 50.2 | 35 |
| 55.0 | 30 |
| 64.8 | 12 |
| 65.6 | 16 |
| 77.7 | 21 |